Structure and simulated powder XRD pattern of V3BiPb3O12 (a cell relaxed with GGA+U; copper Kα).
No peak broadening, texture or thermal motion is included.

Peak list (10 most intense, 15° ≤ 2θ ≤ 90°, low angle first)
19.77 deg, I = 65; 25.61 deg, I = 100; 30.41 deg, I = 90; 40.15 deg, I = 39; 41.87 deg, I = 38; 48.23 deg, I = 13; 51.17 deg, I = 25; 51.26 deg, I = 12; 52.62 deg, I = 12; 53.99 deg, I = 13

Structural model:
Lattice parameters (Å, degrees): 9.537 9.537 9.513 109.49 109.49 109.53
Element x y z (fractional)
V1 0.060 0.940 0.500
V2 0.302 0.546 0.614
V3 0.428 0.803 0.244
V4 0.546 0.302 0.114
V5 0.803 0.428 0.744
V6 0.940 0.060 0.000
Bi1 0.177 0.352 0.868
Bi2 0.352 0.177 0.368
Pb1 0.015 0.515 0.208
Pb2 0.179 0.840 0.869
Pb3 0.515 0.015 0.708
Pb4 0.680 0.680 0.034
Pb5 0.680 0.680 0.534
Pb6 0.840 0.179 0.369
O1 0.003 0.265 0.022
O2 0.032 0.120 0.545
O3 0.033 0.873 0.643
O4 0.097 0.409 0.437
O5 0.120 0.032 0.045
O6 0.250 0.597 0.084
O7 0.265 0.003 0.522
O8 0.321 0.513 0.791
O9 0.342 0.754 0.677
O10 0.372 0.956 0.225
O11 0.409 0.097 0.937
O12 0.445 0.504 0.555
O13 0.480 0.819 0.443
O14 0.504 0.445 0.055
O15 0.513 0.321 0.291
O16 0.597 0.250 0.584
O17 0.606 0.840 0.219
O18 0.754 0.342 0.177
O19 0.768 0.910 0.793
O20 0.819 0.480 0.943
O21 0.840 0.606 0.719
O22 0.873 0.033 0.143
O23 0.910 0.768 0.293
O24 0.956 0.372 0.725